This entry pairs a crystal structure of TbTh3P4 with its simulated powder diffractogram. Radiation: Cu Kα (λ = 1.5418 Å). Structure: the PBE geometry in Alexandria.

The 8 most intense peaks (15° ≤ 2θ ≤ 90°), low angle first:
2θ (°), intensity
26.51, 100
30.70, 97
43.97, 73
52.08, 51
54.58, 26
70.47, 21
72.59, 34
80.85, 25

Atomic structure:
Cell: 5.8244 5.8244 5.8244 Å, 90.00 90.00 90.00°
Sites, in units of the cell vectors:
Tb1 0.0000 0.0000 0.0000
Th1 0.0000 0.5000 0.5000
Th2 0.5000 0.0000 0.5000
Th3 0.5000 0.5000 0.0000
P1 0.0000 0.0000 0.5000
P2 0.0000 0.5000 0.0000
P3 0.5000 0.0000 0.0000
P4 0.5000 0.5000 0.5000

***

This entry pairs a crystal structure of PuSbS4 with its simulated powder diffractogram. Radiation: Cu Kα (λ = 1.5418 Å). Structure: the PBE geometry in Alexandria.

The 8 most intense peaks (15° ≤ 2θ ≤ 90°), low angle first:
2θ (°), intensity
26.07, 79
29.37, 100
29.90, 48
38.00, 52
38.53, 32
38.82, 24
45.99, 49
50.26, 27

Atomic structure:
Cell: 6.4820 3.9505 6.8321 Å, 90.00 91.52 90.00°
Sites, in units of the cell vectors:
Pu1 0.0000 0.0000 0.0000
Sb1 0.0000 0.5000 0.5000
S1 0.2150 0.5000 0.8440
S2 0.2193 0.0000 0.3253
S3 0.7807 0.0000 0.6747
S4 0.7850 0.5000 0.1560

***

This entry pairs a crystal structure of LaSm2Ho6 with its simulated powder diffractogram. Radiation: Cu Kα (λ = 1.5418 Å). Structure: the PBE geometry in Alexandria.

The 8 most intense peaks (15° ≤ 2θ ≤ 90°), low angle first:
2θ (°), intensity
29.31, 88
29.86, 55
30.11, 100
33.89, 36
34.18, 34
34.32, 40
34.90, 43
37.29, 38

Atomic structure:
Cell: 8.9100 6.4701 11.7382 Å, 90.00 118.02 90.00°
Sites, in units of the cell vectors:
La1 0.0000 0.0000 0.0000
La2 0.0000 0.5000 0.5000
Sm1 0.3356 0.1436 0.9826
Sm2 0.3356 0.3564 0.4826
Sm3 0.6644 0.6436 0.5174
Sm4 0.6644 0.8564 0.0174
Ho1 0.1310 0.0274 0.6535
Ho2 0.1310 0.4726 0.1535
Ho3 0.2668 0.6178 0.8695
Ho4 0.2668 0.8822 0.3695
Ho5 0.4702 0.7292 0.1890
Ho6 0.4702 0.7708 0.6890
Ho7 0.5298 0.2292 0.3110
Ho8 0.5298 0.2708 0.8110
Ho9 0.7332 0.1178 0.6305
Ho10 0.7332 0.3822 0.1305
Ho11 0.8690 0.5274 0.8465
Ho12 0.8690 0.9726 0.3465

***

This entry pairs a crystal structure of PrNd3Au3 with its simulated powder diffractogram. Radiation: Cu Kα (λ = 1.5418 Å). Structure: the PBE geometry in Alexandria.

The 8 most intense peaks (15° ≤ 2θ ≤ 90°), low angle first:
2θ (°), intensity
30.46, 53
30.68, 27
32.26, 62
34.03, 100
34.56, 24
40.15, 29
44.96, 23
51.89, 24

Atomic structure:
Cell: 7.4122 7.4122 7.4341 Å, 90.78 90.78 96.96°
Sites, in units of the cell vectors:
Pr1 0.2417 0.2417 0.3648
Pr2 0.7583 0.7583 0.6352
Nd1 0.1433 0.1433 0.8622
Nd2 0.2488 0.7512 0.5000
Nd3 0.3218 0.6782 0.0000
Nd4 0.6782 0.3218 0.0000
Nd5 0.7512 0.2488 0.5000
Nd6 0.8567 0.8567 0.1378
Au1 0.0091 0.5038 0.7696
Au2 0.4327 0.4327 0.6909
Au3 0.4962 0.9909 0.2304
Au4 0.5038 0.0091 0.7696
Au5 0.5673 0.5673 0.3091
Au6 0.9909 0.4962 0.2304

***

Please write out number 3 again, unchanged.
This entry pairs a crystal structure of LaSm2Ho6 with its simulated powder diffractogram. Radiation: Cu Kα (λ = 1.5418 Å). Structure: the PBE geometry in Alexandria.

The 8 most intense peaks (15° ≤ 2θ ≤ 90°), low angle first:
2θ (°), intensity
29.31, 88
29.86, 55
30.11, 100
33.89, 36
34.18, 34
34.32, 40
34.90, 43
37.29, 38

Atomic structure:
Cell: 8.9100 6.4701 11.7382 Å, 90.00 118.02 90.00°
Sites, in units of the cell vectors:
La1 0.0000 0.0000 0.0000
La2 0.0000 0.5000 0.5000
Sm1 0.3356 0.1436 0.9826
Sm2 0.3356 0.3564 0.4826
Sm3 0.6644 0.6436 0.5174
Sm4 0.6644 0.8564 0.0174
Ho1 0.1310 0.0274 0.6535
Ho2 0.1310 0.4726 0.1535
Ho3 0.2668 0.6178 0.8695
Ho4 0.2668 0.8822 0.3695
Ho5 0.4702 0.7292 0.1890
Ho6 0.4702 0.7708 0.6890
Ho7 0.5298 0.2292 0.3110
Ho8 0.5298 0.2708 0.8110
Ho9 0.7332 0.1178 0.6305
Ho10 0.7332 0.3822 0.1305
Ho11 0.8690 0.5274 0.8465
Ho12 0.8690 0.9726 0.3465

***

Repeat the third record exactly.
This entry pairs a crystal structure of LaSm2Ho6 with its simulated powder diffractogram. Radiation: Cu Kα (λ = 1.5418 Å). Structure: the PBE geometry in Alexandria.

The 8 most intense peaks (15° ≤ 2θ ≤ 90°), low angle first:
2θ (°), intensity
29.31, 88
29.86, 55
30.11, 100
33.89, 36
34.18, 34
34.32, 40
34.90, 43
37.29, 38

Atomic structure:
Cell: 8.9100 6.4701 11.7382 Å, 90.00 118.02 90.00°
Sites, in units of the cell vectors:
La1 0.0000 0.0000 0.0000
La2 0.0000 0.5000 0.5000
Sm1 0.3356 0.1436 0.9826
Sm2 0.3356 0.3564 0.4826
Sm3 0.6644 0.6436 0.5174
Sm4 0.6644 0.8564 0.0174
Ho1 0.1310 0.0274 0.6535
Ho2 0.1310 0.4726 0.1535
Ho3 0.2668 0.6178 0.8695
Ho4 0.2668 0.8822 0.3695
Ho5 0.4702 0.7292 0.1890
Ho6 0.4702 0.7708 0.6890
Ho7 0.5298 0.2292 0.3110
Ho8 0.5298 0.2708 0.8110
Ho9 0.7332 0.1178 0.6305
Ho10 0.7332 0.3822 0.1305
Ho11 0.8690 0.5274 0.8465
Ho12 0.8690 0.9726 0.3465

***

Q: Number 1 is which compound?
A: TbTh3P4